[1]
AcPrN4: calculated PXRD pattern (Cu Kα (λ = 1.5418 Å)), based on a cell relaxed with PBE.
No peak broadening, texture or thermal motion is included.

Largest 10 diffraction maxima, by angle, 2θ = 10–90°:
- 2θ 26.88, rel. 48
- 2θ 27.39, rel. 94
- 2θ 28.17, rel. 100
- 2θ 33.51, rel. 96
- 2θ 43.46, rel. 37
- 2θ 45.18, rel. 36
- 2θ 48.29, rel. 30
- 2θ 49.37, rel. 27
- 2θ 56.52, rel. 30
- 2θ 70.40, rel. 19

Structural model:
a = 7.2104 Å, b = 3.7961 Å, c = 7.5465 Å
α = 90.00°, β = 118.49°, γ = 90.00°
Space group C2/m (No. 12)
Inequivalent atoms, fractional coordinates:
1 Ac 0.0000 0.0000 0.0000
2 Pr 0.0000 0.0000 0.5000
3 N 0.1004 0.5000 0.8007
4 N 0.1055 0.5000 0.3234

=====

[2]
Ac4PrN5: calculated PXRD pattern (Cu Kα (λ = 1.5418 Å)), based on a cell relaxed with PBE.
No peak broadening, texture or thermal motion is included.

Largest 10 diffraction maxima, by angle, 2θ = 10–90°:
- 2θ 28.16, rel. 100
- 2θ 30.64, rel. 25
- 2θ 33.58, rel. 41
- 2θ 46.09, rel. 33
- 2θ 48.22, rel. 15
- 2θ 52.95, rel. 20
- 2θ 56.77, rel. 30
- 2θ 58.22, rel. 17
- 2θ 74.41, rel. 15
- 2θ 88.50, rel. 11

Structural model:
a = 8.4405 Å, b = 8.4405 Å, c = 5.8356 Å
α = 90.00°, β = 90.00°, γ = 90.00°
Space group I4 (No. 79)
Inequivalent atoms, fractional coordinates:
1 Ac 0.1025 0.7010 0.0000
2 Pr 0.0000 0.0000 0.5037
3 N 0.0000 0.0000 0.9118
4 N 0.0961 0.7060 0.4418

=====

[3]
AcPr3N3: calculated PXRD pattern (Cu Kα (λ = 1.5418 Å)), based on a cell relaxed with PBE.
No peak broadening, texture or thermal motion is included.

Largest 10 diffraction maxima, by angle, 2θ = 10–90°:
- 2θ 20.41, rel. 12
- 2θ 29.03, rel. 100
- 2θ 33.64, rel. 66
- 2θ 46.69, rel. 9
- 2θ 48.31, rel. 44
- 2θ 57.35, rel. 39
- 2θ 60.16, rel. 14
- 2θ 70.72, rel. 6
- 2θ 78.20, rel. 14
- 2θ 80.64, rel. 15

Structural model:
a = 10.6567 Å, b = 10.6567 Å, c = 10.6567 Å
α = 90.00°, β = 90.00°, γ = 90.00°
Space group I-43m (No. 217)
Inequivalent atoms, fractional coordinates:
1 Ac 0.1402 0.1402 0.8598
2 Pr 0.1111 0.3777 0.6223
3 N 0.1192 0.3731 0.3731